The following is a calculated XRD peak list of MgCo2NiO6. It was derived from a cell relaxed with PBE+U, using Cu Kα X-rays.

Structure:
```
data_MgCo2NiO6
_space_group_name_H-M_alt 'C 1 m 1'
_space_group_IT_number 8
_space_group_name_Hall 'C -2y'
_cell_length_a 12.519
_cell_length_b 2.901
_cell_length_c 6.025
_cell_angle_alpha 90.00
_cell_angle_beta 106.13
_cell_angle_gamma 90.00
loop_
_atom_site_label
_atom_site_fract_x
_atom_site_fract_y
_atom_site_fract_z
Mg1 0.000 0.000 0.000
Co1 0.332 0.000 0.168
Co2 0.497 0.500 0.495
Ni1 0.172 0.500 0.834
O1 0.015 0.500 0.757
O2 0.161 0.000 0.629
O3 0.174 0.000 0.043
O4 0.327 0.500 0.954
O5 0.344 0.500 0.381
O6 0.493 0.000 0.245
```

Most intense lines, 2θ from 5° to 70°, sorted by position:
2θ = 18.08°, rel. 100, hkl 2 0 -1; 2θ = 36.34°, rel. 22, hkl 1 1 1; 2θ = 36.63°, rel. 8, hkl 4 0 -2; 2θ = 37.34°, rel. 10, hkl 4 0 1; 2θ = 38.30°, rel. 11, hkl 3 1 0; 2θ = 43.32°, rel. 49, hkl 1 1 -2; 2θ = 45.24°, rel. 22, hkl 6 0 0; 2θ = 56.58°, rel. 10, hkl 3 1 -3; 2θ = 63.45°, rel. 12, hkl 7 1 -2; 2θ = 65.39°, rel. 12, hkl 5 1 2